The following is a calculated X-ray diffraction stick pattern of Sr3TeO6. It was derived from a structure optimized by DFT (PBE), using Cu Kα (λ = 1.5418 Å).
Neutral-atom scattering factors, no anomalous dispersion.

Crystal structure
a = 5.921 Å, b = 6.121 Å, c = 10.326 Å
α = 90.00°, β = 124.80°, γ = 90.00°
Space group P2_1/c (No. 14)
Inequivalent atoms, fractional coordinates:
1 Sr 0.000 0.000 0.000 x2
2 Sr 0.261 0.047 0.747 x4
3 Te 0.500 0.000 0.500 x2
4 O 0.182 0.046 0.282 x4
5 O 0.277 0.679 0.044 x4
6 O 0.392 0.238 0.063 x4

The 10 most intense peaks (2θ = 15–90°), sorted by position:
- 29.18°, intensity 23.2
- 29.74°, intensity 100.0
- 30.19°, intensity 22.8
- 42.48°, intensity 24.2
- 42.65°, intensity 13.3
- 52.09°, intensity 16.3
- 52.51°, intensity 10.8
- 53.05°, intensity 6.8
- 53.26°, intensity 15.1
- 53.41°, intensity 12.3


The following is a calculated X-ray diffraction stick pattern of SrUTe2O8. It was derived from a structure optimized by DFT (PBE), using Cu Kα (λ = 1.5418 Å).
Neutral-atom scattering factors, no anomalous dispersion.

Crystal structure
a = 13.291 Å, b = 5.887 Å, c = 5.668 Å
α = 90.00°, β = 110.85°, γ = 90.00°
Space group C2/m (No. 12)
Inequivalent atoms, fractional coordinates:
1 Sr 0.000 0.000 0.000 x2
2 U 0.000 0.500 0.500 x2
3 Te 0.206 0.000 0.711 x4
4 O 0.073 0.500 0.276 x4
5 O 0.107 0.228 0.748 x8
6 O 0.171 0.000 0.364 x4

The 10 most intense peaks (2θ = 15–90°), sorted by position:
- 16.73°, intensity 30.8
- 17.72°, intensity 21.0
- 25.48°, intensity 100.0
- 26.32°, intensity 45.4
- 26.80°, intensity 81.3
- 30.37°, intensity 37.7
- 31.66°, intensity 25.8
- 42.31°, intensity 20.4
- 44.44°, intensity 22.9
- 54.20°, intensity 20.1


The following is a calculated X-ray diffraction stick pattern of Sr3UTe4O14. It was derived from a structure optimized by DFT (PBE), using Cu Kα (λ = 1.5418 Å).
Neutral-atom scattering factors, no anomalous dispersion.

Crystal structure
a = 21.124 Å, b = 5.734 Å, c = 13.246 Å
α = 90.00°, β = 93.27°, γ = 90.00°
Space group C2/c (No. 15)
Inequivalent atoms, fractional coordinates:
1 Sr 0.000 0.221 0.250 x4
2 Sr 0.060 0.267 0.557 x8
3 U 0.250 0.250 0.500 x4
4 Te 0.100 0.225 0.870 x8
5 Te 0.173 0.210 0.160 x8
6 O 0.040 0.007 0.913 x8
7 O 0.044 0.480 0.883 x8
8 O 0.089 0.131 0.733 x8
9 O 0.092 0.333 0.133 x8
10 O 0.169 0.024 0.554 x8
11 O 0.196 0.351 0.393 x8
12 O 0.217 0.453 0.093 x8

The 10 most intense peaks (2θ = 15–90°), sorted by position:
- 20.86°, intensity 27.3
- 22.16°, intensity 24.3
- 26.03°, intensity 100.0
- 26.79°, intensity 96.7
- 29.45°, intensity 18.9
- 31.15°, intensity 54.9
- 43.44°, intensity 19.6
- 44.34°, intensity 15.3
- 44.63°, intensity 30.2
- 51.91°, intensity 14.8